(1)
Diffraction record for Dy4Y2N. The X-ray diffraction stick pattern is computed, not measured: it uses DFT lattice parameters and positions (PBE) and Cu Kα.
Kinematic intensities with the Lorentz-polarization factor, no thermal factor.

Top 10 peaks for 10 to 90 degrees two-theta, sorted by position:
2θ (°)  I (rel.)  (hkl)
10.03  363  0 0 2
19.21  159  1 0 1
28.24  582  1 1 2
30.41  235  0 0 6
31.50  157  1 0 5
33.37  1000  1 1 4
37.58  512  2 0 0
49.08  245  2 0 6
54.20  177  2 2 0
65.16  292  3 1 4

Structure:
a = 4.7867 Å, b = 4.7867 Å, c = 17.6383 Å
α = 90.00°, β = 90.00°, γ = 90.00°
Space group I4/mmm (No. 139)
Symmetry-distinct sites (fractional):
1 Dy 0.0000 0.0000 0.1322
2 Dy 0.0000 0.5000 0.0000
3 Y 0.0000 0.0000 0.3309
4 N 0.0000 0.0000 0.0000



(2)
Diffraction record for Ba4GeBi4. The X-ray diffraction stick pattern is computed, not measured: it uses DFT lattice parameters and positions (PBE) and Cu Kα.
Kinematic intensities with the Lorentz-polarization factor, no thermal factor.

Top 10 peaks for 10 to 90 degrees two-theta, sorted by position:
2θ (°)  I (rel.)  (hkl)
24.09  376  0 0 2
24.63  1000  2 2 0
31.12  191  2 1 2
34.72  759  2 2 2
35.11  496  4 0 0
43.03  312  4 0 2
50.49  169  4 4 0
56.69  190  4 4 2
56.96  183  6 2 0
62.73  312  6 2 2

Structure:
a = 10.2244 Å, b = 10.2244 Å, c = 7.3894 Å
α = 90.00°, β = 90.00°, γ = 90.00°
Space group P4_2/nmc (No. 137, origin choice 2)
Symmetry-distinct sites (fractional):
1 Ba 0.0095 0.2500 0.0503
2 Ge 0.2500 0.7500 0.2500
3 Bi 0.0150 0.7500 0.4581